1.
Simulated powder X-ray diffraction pattern
Compound: Li4CoF5
Radiation: Cu Ka
Structure: a DFT-relaxed cell (GGA+U, Alexandria)
Peak positions follow from Bragg's law for the DFT cell and can differ from measured ones.

Structural model:
```
Li4CoF5
1.0
-3.309 3.309 2.121
3.309 -3.309 2.121
3.309 3.309 -2.121
Li Co F
4 1 5
direct
0.105 0.697 0.802
0.303 0.105 0.408
0.697 0.895 0.592
0.895 0.303 0.198
0.500 0.500 0.000
0.000 0.000 0.000
0.184 0.388 0.572
0.388 0.816 0.205
0.612 0.184 0.795
0.816 0.612 0.428
```

Main lines, by angle (10 to 80 degrees two-theta):
| d/Å | intensity |
| --- | --- |
| 4.680 | 66 |
| 3.571 | 67 |
| 3.309 | 33 |
| 2.427 | 42 |
| 2.340 | 19 |
| 2.121 | 46 |
| 2.093 | 100 |
| 1.490 | 56 |
| 1.480 | 25 |
| 1.214 | 22 |

***

2.
Simulated powder X-ray diffraction pattern
Compound: Li3Co3F8
Radiation: Cu Ka
Structure: a DFT-relaxed cell (GGA+U, Alexandria)
Peak positions follow from Bragg's law for the DFT cell and can differ from measured ones.

Structural model:
```
Li3Co3F8
1.0
3.038 1.754 4.973
-3.038 1.754 4.973
0.000 -3.507 4.973
Li Co F
3 3 8
direct
0.000 0.000 0.000
0.378 0.378 0.378
0.622 0.622 0.622
0.000 0.000 0.500
0.000 0.500 0.000
0.500 0.000 0.000
0.231 0.758 0.758
0.242 0.242 0.769
0.242 0.769 0.242
0.248 0.248 0.248
0.752 0.752 0.752
0.758 0.231 0.758
0.758 0.758 0.231
0.769 0.242 0.242
```

Main lines, by angle (10 to 80 degrees two-theta):
| d/Å | intensity |
| --- | --- |
| 4.970 | 100 |
| 4.299 | 15 |
| 3.041 | 13 |
| 2.591 | 61 |
| 2.150 | 76 |
| 1.973 | 16 |
| 1.656 | 14 |
| 1.521 | 24 |
| 1.519 | 23 |
| 1.453 | 13 |

***

3.
Simulated powder X-ray diffraction pattern
Compound: LiCoF3
Radiation: Cu Ka
Structure: a DFT-relaxed cell (GGA+U, Alexandria)
Peak positions follow from Bragg's law for the DFT cell and can differ from measured ones.

Structural model:
```
LiCoF3
1.0
5.648 0.000 0.000
0.000 8.019 0.000
0.000 0.000 5.159
Li Co F
4 4 12
direct
0.131 0.250 0.031
0.369 0.750 0.531
0.631 0.250 0.469
0.869 0.750 0.969
0.000 0.000 0.500
0.000 0.500 0.500
0.500 0.000 0.000
0.500 0.500 0.000
0.022 0.750 0.642
0.192 0.064 0.817
0.192 0.436 0.817
0.308 0.564 0.317
0.308 0.936 0.317
0.478 0.250 0.142
0.522 0.750 0.858
0.692 0.064 0.683
0.692 0.436 0.683
0.808 0.564 0.183
0.808 0.936 0.183
0.978 0.250 0.358
```

Main lines, by angle (10 to 80 degrees two-theta):
| d/Å | intensity |
| --- | --- |
| 4.009 | 56 |
| 3.809 | 100 |
| 2.824 | 14 |
| 2.761 | 48 |
| 2.373 | 16 |
| 1.904 | 18 |
| 1.774 | 24 |
| 1.768 | 20 |
| 1.720 | 27 |
| 1.522 | 23 |

***

4.
Simulated powder X-ray diffraction pattern
Compound: NaLiCoF6
Radiation: Cu Ka
Structure: a DFT-relaxed cell (GGA+U, Alexandria)
Peak positions follow from Bragg's law for the DFT cell and can differ from measured ones.

Structural model:
```
NaLiCoF6
1.0
4.814 0.000 0.000
0.000 4.814 0.000
0.000 0.000 9.377
Na Li Co F
2 2 2 12
direct
0.000 0.000 0.000
0.500 0.500 0.500
0.000 0.000 0.335
0.500 0.500 0.835
0.000 0.000 0.664
0.500 0.500 0.164
0.175 0.175 0.517
0.190 0.190 0.802
0.236 0.236 0.170
0.264 0.736 0.670
0.310 0.690 0.302
0.325 0.675 0.017
0.675 0.325 0.017
0.690 0.310 0.302
0.736 0.264 0.670
0.764 0.764 0.170
0.810 0.810 0.802
0.825 0.825 0.517
```

Main lines, by angle (10 to 80 degrees two-theta):
| d/Å | intensity |
| --- | --- |
| 4.688 | 38 |
| 4.283 | 100 |
| 3.404 | 72 |
| 2.755 | 18 |
| 2.622 | 22 |
| 2.302 | 39 |
| 2.153 | 12 |
| 1.773 | 46 |
| 1.702 | 20 |
| 1.428 | 20 |

***

5.
Simulated powder X-ray diffraction pattern
Compound: Li3Co4O4F3
Radiation: Cu Ka
Structure: a DFT-relaxed cell (GGA+U, Alexandria)
Peak positions follow from Bragg's law for the DFT cell and can differ from measured ones.

Structural model:
```
Li3Co4O4F3
1.0
-1.488 1.488 14.908
1.488 -1.488 14.908
1.488 1.488 -14.908
Li Co O F
3 4 4 3
direct
0.000 0.000 0.000
0.431 0.431 0.000
0.569 0.569 0.000
0.141 0.141 0.000
0.282 0.282 0.000
0.718 0.718 0.000
0.859 0.859 0.000
0.213 0.213 0.000
0.359 0.359 0.000
0.641 0.641 0.000
0.787 0.787 0.000
0.067 0.067 0.000
0.500 0.500 0.000
0.933 0.933 0.000
```

Main lines, by angle (10 to 80 degrees two-theta):
| d/Å | intensity |
| --- | --- |
| 2.663 | 45 |
| 2.440 | 41 |
| 2.214 | 32 |
| 2.130 | 49 |
| 2.104 | 100 |
| 2.084 | 18 |
| 1.497 | 54 |
| 1.488 | 28 |
| 1.270 | 12 |
| 1.220 | 24 |

***

6.
Simulated powder X-ray diffraction pattern
Compound: Li4Co3O2F6
Radiation: Cu Ka
Structure: a DFT-relaxed cell (GGA+U, Alexandria)
Peak positions follow from Bragg's law for the DFT cell and can differ from measured ones.

Structural model:
```
Li4Co3O2F6
1.0
5.213 0.000 0.000
0.923 5.192 0.000
0.150 1.872 5.654
Li Co O F
4 3 2 6
direct
0.229 0.494 0.358
0.267 0.519 0.872
0.733 0.481 0.128
0.771 0.506 0.642
0.000 0.000 0.000
0.495 0.993 0.235
0.505 0.007 0.765
0.354 0.770 0.059
0.646 0.230 0.941
0.129 0.265 0.171
0.138 0.293 0.691
0.416 0.752 0.572
0.584 0.248 0.428
0.862 0.707 0.309
0.871 0.735 0.829
```

Main lines, by angle (10 to 80 degrees two-theta):
| d/Å | intensity |
| --- | --- |
| 5.654 | 34 |
| 4.929 | 100 |
| 2.585 | 21 |
| 2.565 | 22 |
| 2.510 | 21 |
| 2.161 | 54 |
| 2.127 | 52 |
| 2.080 | 51 |
| 1.516 | 27 |
| 1.489 | 27 |